# 1
The following is a calculated X-ray diffraction stick pattern of RePOs. It was derived from a DFT-relaxed cell (PBE, Alexandria), using Cu Kα X-rays.
Kinematic intensities with the Lorentz-polarization factor, no thermal factor.

Top 10 peaks for 2θ = 5–70°, sorted by position:
- 2θ 23.95, I = 38, (0 0 2)
- 2θ 25.49, I = 33, (0 1 1)
- 2θ 33.31, I = 17, (1 0 1)
- 2θ 38.61, I = 100, (1 1 0)
- 2θ 43.07, I = 72, (0 1 3)
- 2θ 45.82, I = 31, (0 2 0)
- 2θ 45.94, I = 28, (1 1 2)
- 2θ 48.43, I = 51, (1 0 3)
- 2θ 64.61, I = 11, (2 0 0)
- 2θ 68.87, I = 36, (1 2 3)

Structure:
a b c (Å): 2.885 3.960 7.432
angles (deg): 90.00 90.00 90.00
Positions (direct):
Re: 0.000 0.000 0.000
Re: 0.500 0.500 0.500
P: 0.000 0.000 0.676
P: 0.500 0.500 0.176
Os: 0.000 0.000 0.352
Os: 0.500 0.500 0.852


# 2
The following is a calculated X-ray diffraction stick pattern of TlRe2POs. It was derived from a DFT-relaxed cell (PBE, Alexandria), using Cu Kα X-rays.
Kinematic intensities with the Lorentz-polarization factor, no thermal factor.

Top 10 peaks for 2θ = 5–70°, sorted by position:
- 2θ 20.26, I = 37, (0 0 1)
- 2θ 27.30, I = 88, (1 0 1)
- 2θ 32.96, I = 73, (1 1 1)
- 2θ 36.69, I = 100, (2 0 0)
- 2θ 41.19, I = 36, (0 0 2)
- 2θ 46.34, I = 43, (2 1 1)
- 2θ 52.87, I = 36, (2 2 0)
- 2θ 56.33, I = 59, (2 0 2)
- 2θ 63.72, I = 24, (3 1 1)
- 2θ 69.13, I = 32, (2 2 2)

Structure:
a b c (Å): 4.898 4.898 4.384
angles (deg): 90.00 90.00 90.00
Positions (direct):
Tl: 0.000 0.000 0.000
Re: 0.000 0.500 0.500
Re: 0.500 0.000 0.500
P: 0.500 0.500 0.000
Os: 0.500 0.500 0.500


Q: What is the formula in the second record?
A: TlRe2POs